No. 1
Diffraction record for Pa2Al2Si4Os. The XRD peak list is calculated, not measured: it uses a crystal structure in Alexandria, relaxed with GGA-PBE and λ = 1.5418 Å (Cu Kα).

Most intense lines, 10 to 90 degrees two-theta, in order of falling intensity:
2θ 29.75, I 100
2θ 29.24, I 50
2θ 52.17, I 42
2θ 41.83, I 36
2θ 36.44, I 29
2θ 61.78, I 21

Atomic structure:
Unit cell a=6.0101 b=6.0101 c=6.0101 alpha=118.92 beta=118.92 gamma=91.88
Atoms (fractional coordinates):
Pa: 0.2500 0.7500 0.5000
Pa: 0.7500 0.2500 0.5000
Al: 0.2075 0.2075 0.0000
Al: 0.7925 0.7925 0.0000
Si: 0.2209 0.2209 0.4418
Si: 0.2209 0.7791 0.0000
Si: 0.7791 0.2209 0.0000
Si: 0.7791 0.7791 0.5582
Os: 0.5000 0.5000 0.0000

=====

No. 2
Diffraction record for PaAlTcOs. The XRD peak list is calculated, not measured: it uses a crystal structure in Alexandria, relaxed with GGA-PBE and λ = 1.5418 Å (Cu Kα).

Most intense lines, 10 to 90 degrees two-theta, in order of falling intensity:
2θ 38.92, I 100
2θ 23.55, I 38
2θ 70.49, I 35
2θ 45.99, I 21
2θ 56.22, I 17
2θ 83.57, I 11

Atomic structure:
Unit cell a=4.6277 b=4.6277 c=4.6277 alpha=60.00 beta=60.00 gamma=60.00
Atoms (fractional coordinates):
Pa: 0.0000 0.0000 0.0000
Al: 0.5000 0.5000 0.5000
Tc: 0.7500 0.7500 0.7500
Os: 0.2500 0.2500 0.2500

=====

No. 3
Diffraction record for AlOsPb. The XRD peak list is calculated, not measured: it uses a crystal structure in Alexandria, relaxed with GGA-PBE and λ = 1.5418 Å (Cu Kα).

Most intense lines, 10 to 90 degrees two-theta, in order of falling intensity:
2θ 35.40, I 100
2θ 14.00, I 56
2θ 40.18, I 40
2θ 29.01, I 30
2θ 69.93, I 29
2θ 45.87, I 20

Atomic structure:
Unit cell a=6.7113 b=6.7113 c=6.7113 alpha=152.64 beta=152.64 gamma=39.07
Atoms (fractional coordinates):
Al: 0.0000 0.0000 0.0000
Os: 0.5892 0.5892 0.0000
Pb: 0.2491 0.2491 0.0000

=====

No. 4
Diffraction record for PrAl10Os2. The XRD peak list is calculated, not measured: it uses a crystal structure in Alexandria, relaxed with GGA-PBE and λ = 1.5418 Å (Cu Kα).

Most intense lines, 10 to 90 degrees two-theta, in order of falling intensity:
2θ 40.16, I 100
2θ 25.99, I 80
2θ 27.43, I 72
2θ 17.23, I 69
2θ 39.33, I 52
2θ 32.57, I 46

Atomic structure:
Unit cell a=6.8922 b=6.8922 c=9.2238 alpha=90.00 beta=90.00 gamma=96.58
Atoms (fractional coordinates):
Pr: 0.1257 0.8743 0.7500
Pr: 0.8743 0.1257 0.2500
Al: 0.1431 0.4114 0.7500
Al: 0.1606 0.8394 0.1020
Al: 0.1606 0.8394 0.3980
Al: 0.2191 0.4824 0.2500
Al: 0.2256 0.2256 0.0000
Al: 0.2256 0.2256 0.5000
Al: 0.3778 0.6222 0.5492
Al: 0.3778 0.6222 0.9508
Al: 0.4114 0.1431 0.2500
Al: 0.4824 0.2191 0.7500
Al: 0.5176 0.7809 0.2500
Al: 0.5886 0.8569 0.7500
Al: 0.6222 0.3778 0.0492
Al: 0.6222 0.3778 0.4508
Al: 0.7744 0.7744 0.0000
Al: 0.7744 0.7744 0.5000
Al: 0.7809 0.5176 0.7500
Al: 0.8394 0.1606 0.6020
Al: 0.8394 0.1606 0.8980
Al: 0.8569 0.5886 0.2500
Os: 0.0000 0.5000 0.0000
Os: 0.0000 0.5000 0.5000
Os: 0.5000 0.0000 0.0000
Os: 0.5000 0.0000 0.5000

=====

No. 5
Diffraction record for Pr3Al12Os4. The XRD peak list is calculated, not measured: it uses a crystal structure in Alexandria, relaxed with GGA-PBE and λ = 1.5418 Å (Cu Kα).

Most intense lines, 10 to 90 degrees two-theta, in order of falling intensity:
2θ 29.52, I 100
2θ 40.49, I 55
2θ 23.05, I 37
2θ 36.13, I 32
2θ 55.92, I 31
2θ 36.88, I 24

Atomic structure:
Unit cell a=8.9119 b=8.9119 c=9.7481 alpha=90.00 beta=90.00 gamma=120.00
Atoms (fractional coordinates):
Pr: 0.1924 0.3848 0.2500
Pr: 0.1924 0.8076 0.2500
Pr: 0.3848 0.1924 0.7500
Pr: 0.6152 0.8076 0.2500
Pr: 0.8076 0.1924 0.7500
Pr: 0.8076 0.6152 0.7500
Al: 0.0000 0.0000 0.2500
Al: 0.0000 0.0000 0.7500
Al: 0.1253 0.5627 0.7500
Al: 0.1634 0.3269 0.5733
Al: 0.1634 0.3269 0.9267
Al: 0.1634 0.8366 0.5733
Al: 0.1634 0.8366 0.9267
Al: 0.3269 0.1634 0.0733
Al: 0.3269 0.1634 0.4267
Al: 0.3333 0.6667 0.0098
Al: 0.3333 0.6667 0.4902
Al: 0.4373 0.5627 0.7500
Al: 0.4373 0.8747 0.7500
Al: 0.5627 0.1253 0.2500
Al: 0.5627 0.4373 0.2500
Al: 0.6667 0.3333 0.5098
Al: 0.6667 0.3333 0.9902
Al: 0.6731 0.8366 0.5733
Al: 0.6731 0.8366 0.9267
Al: 0.8366 0.1634 0.0733
Al: 0.8366 0.1634 0.4267
Al: 0.8366 0.6731 0.0733
Al: 0.8366 0.6731 0.4267
Al: 0.8747 0.4373 0.2500
Os: 0.0000 0.0000 0.0000
Os: 0.0000 0.0000 0.5000
Os: 0.0000 0.5000 0.0000
Os: 0.0000 0.5000 0.5000
Os: 0.5000 0.0000 0.0000
Os: 0.5000 0.0000 0.5000
Os: 0.5000 0.5000 0.0000
Os: 0.5000 0.5000 0.5000

=====

No. 6
Diffraction record for PrAl3Os2. The XRD peak list is calculated, not measured: it uses a crystal structure in Alexandria, relaxed with GGA-PBE and λ = 1.5418 Å (Cu Kα).

Most intense lines, 10 to 90 degrees two-theta, in order of falling intensity:
2θ 27.94, I 100
2θ 38.01, I 88
2θ 39.99, I 73
2θ 21.43, I 70
2θ 28.82, I 63
2θ 44.05, I 61

Atomic structure:
Unit cell a=6.5020 b=6.5020 c=5.3730 alpha=90.00 beta=90.00 gamma=79.24
Atoms (fractional coordinates):
Pr: 0.1569 0.8431 0.7500
Pr: 0.8431 0.1569 0.2500
Al: 0.0427 0.5869 0.2500
Al: 0.4131 0.9573 0.2500
Al: 0.4511 0.5489 0.2500
Al: 0.5489 0.4511 0.7500
Al: 0.5869 0.0427 0.7500
Al: 0.9573 0.4131 0.7500
Os: 0.2854 0.2854 0.0000
Os: 0.2854 0.2854 0.5000
Os: 0.7146 0.7146 0.0000
Os: 0.7146 0.7146 0.5000

=====

No. 7
Diffraction record for Pr3Al3Os2. The XRD peak list is calculated, not measured: it uses a crystal structure in Alexandria, relaxed with GGA-PBE and λ = 1.5418 Å (Cu Kα).

Most intense lines, 10 to 90 degrees two-theta, in order of falling intensity:
2θ 32.38, I 100
2θ 25.40, I 78
2θ 36.42, I 76
2θ 35.75, I 69
2θ 37.20, I 60
2θ 23.03, I 45

Atomic structure:
Unit cell a=7.9201 b=15.4479 c=6.0117 alpha=90.00 beta=90.00 gamma=90.00
Atoms (fractional coordinates):
Pr: 0.0351 0.1067 0.1033
Pr: 0.0351 0.3933 0.1033
Pr: 0.1779 0.2500 0.6207
Pr: 0.3221 0.7500 0.1207
Pr: 0.4649 0.6067 0.6033
Pr: 0.4649 0.8933 0.6033
Pr: 0.5351 0.1067 0.3967
Pr: 0.5351 0.3933 0.3967
Pr: 0.6779 0.2500 0.8793
Pr: 0.8221 0.7500 0.3793
Pr: 0.9649 0.6067 0.8967
Pr: 0.9649 0.8933 0.8967
Al: 0.1572 0.0357 0.5982
Al: 0.1572 0.4643 0.5982
Al: 0.1688 0.7500 0.5994
Al: 0.3312 0.2500 0.0994
Al: 0.3428 0.5357 0.0982
Al: 0.3428 0.9643 0.0982
Al: 0.6572 0.0357 0.9018
Al: 0.6572 0.4643 0.9018
Al: 0.6688 0.7500 0.9006
Al: 0.8312 0.2500 0.4006
Al: 0.8428 0.5357 0.4018
Al: 0.8428 0.9643 0.4018
Os: 0.1366 0.6040 0.3721
Os: 0.1366 0.8960 0.3721
Os: 0.3634 0.1040 0.8721
Os: 0.3634 0.3960 0.8721
Os: 0.6366 0.6040 0.1279
Os: 0.6366 0.8960 0.1279
Os: 0.8634 0.1040 0.6279
Os: 0.8634 0.3960 0.6279

=====

No. 8
Diffraction record for PrAlSi2Os. The XRD peak list is calculated, not measured: it uses a crystal structure in Alexandria, relaxed with GGA-PBE and λ = 1.5418 Å (Cu Kα).

Most intense lines, 10 to 90 degrees two-theta, in order of falling intensity:
2θ 35.74, I 100
2θ 23.69, I 74
2θ 33.21, I 51
2θ 45.37, I 33
2θ 32.66, I 22
2θ 47.26, I 22

Atomic structure:
Unit cell a=6.1699 b=6.1699 c=6.1699 alpha=142.19 beta=142.19 gamma=54.54
Atoms (fractional coordinates):
Pr: 0.0000 0.0000 0.0000
Al: 0.2500 0.7500 0.5000
Si: 0.3858 0.3858 0.0000
Si: 0.6142 0.6142 0.0000
Os: 0.7500 0.2500 0.5000

=====

No. 9
Diffraction record for Al4Os3Pt. The XRD peak list is calculated, not measured: it uses a crystal structure in Alexandria, relaxed with GGA-PBE and λ = 1.5418 Å (Cu Kα).

Most intense lines, 10 to 90 degrees two-theta, in order of falling intensity:
2θ 42.03, I 100
2θ 29.77, I 70
2θ 28.98, I 38
2θ 42.54, I 24
2θ 42.67, I 24
2θ 76.40, I 18

Atomic structure:
Unit cell a=3.0809 b=4.2378 c=8.5004 alpha=90.00 beta=90.00 gamma=90.00
Atoms (fractional coordinates):
Al: 0.0000 0.0000 0.0000
Al: 0.0000 0.0000 0.5000
Al: 0.0000 0.5000 0.2419
Al: 0.0000 0.5000 0.7581
Os: 0.5000 0.0000 0.2545
Os: 0.5000 0.0000 0.7455
Os: 0.5000 0.5000 0.0000
Pt: 0.5000 0.5000 0.5000

=====

No. 10
Diffraction record for RbAlOsSe2. The XRD peak list is calculated, not measured: it uses a crystal structure in Alexandria, relaxed with GGA-PBE and λ = 1.5418 Å (Cu Kα).

Most intense lines, 10 to 90 degrees two-theta, in order of falling intensity:
2θ 21.30, I 100
2θ 30.30, I 96
2θ 26.16, I 72
2θ 43.39, I 71
2θ 37.35, I 48
2θ 58.54, I 26

Atomic structure:
Unit cell a=5.8942 b=5.8942 c=5.9092 alpha=90.00 beta=90.00 gamma=90.00
Atoms (fractional coordinates):
Rb: 0.0000 0.0000 0.0000
Al: 0.0000 0.0000 0.5000
Os: 0.5000 0.5000 0.5000
Se: 0.0000 0.5000 0.0000
Se: 0.5000 0.0000 0.0000

=====

No. 11
Diffraction record for Ti5Al2Re2Os. The XRD peak list is calculated, not measured: it uses a crystal structure in Alexandria, relaxed with GGA-PBE and λ = 1.5418 Å (Cu Kα).

Most intense lines, 10 to 90 degrees two-theta, in order of falling intensity:
2θ 39.45, I 100
2θ 19.06, I 83
2θ 27.09, I 40
2θ 42.33, I 26
2θ 34.21, I 19
2θ 38.68, I 18

Atomic structure:
Unit cell a=10.4098 b=10.4098 c=3.1718 alpha=90.00 beta=90.00 gamma=90.00
Atoms (fractional coordinates):
Ti: 0.0000 0.5000 0.0000
Ti: 0.0761 0.1871 0.0000
Ti: 0.1871 0.9239 0.0000
Ti: 0.3129 0.4239 0.0000
Ti: 0.4239 0.6871 0.0000
Ti: 0.5000 0.0000 0.0000
Ti: 0.5761 0.3129 0.0000
Ti: 0.6871 0.5761 0.0000
Ti: 0.8129 0.0761 0.0000
Ti: 0.9239 0.8129 0.0000
Al: 0.1699 0.6699 0.5000
Al: 0.3301 0.1699 0.5000
Al: 0.6699 0.8301 0.5000
Al: 0.8301 0.3301 0.5000
Re: 0.1356 0.3644 0.5000
Re: 0.3644 0.8644 0.5000
Re: 0.6356 0.1356 0.5000
Re: 0.8644 0.6356 0.5000
Os: 0.0000 0.0000 0.5000
Os: 0.5000 0.5000 0.5000

=====

No. 12
Diffraction record for Al4OsRh2. The XRD peak list is calculated, not measured: it uses a crystal structure in Alexandria, relaxed with GGA-PBE and λ = 1.5418 Å (Cu Kα).

Most intense lines, 10 to 90 degrees two-theta, in order of falling intensity:
2θ 43.18, I 100
2θ 18.43, I 61
2θ 29.76, I 45
2θ 27.99, I 43
2θ 42.51, I 26
2θ 42.66, I 26

Atomic structure:
Unit cell a=5.1497 b=5.1497 c=4.2535 alpha=90.00 beta=90.00 gamma=110.78
Atoms (fractional coordinates):
Al: 0.0000 0.5000 0.5000
Al: 0.2353 0.2353 0.0000
Al: 0.5000 0.0000 0.5000
Al: 0.7647 0.7647 0.0000
Os: 0.5000 0.5000 0.5000
Rh: 0.2554 0.7446 0.0000
Rh: 0.7446 0.2554 0.0000

=====

No. 13
Diffraction record for AlOsRu2. The XRD peak list is calculated, not measured: it uses a crystal structure in Alexandria, relaxed with GGA-PBE and λ = 1.5418 Å (Cu Kα).

Most intense lines, 10 to 90 degrees two-theta, in order of falling intensity:
2θ 40.40, I 100
2θ 47.44, I 94
2θ 40.99, I 48
2θ 41.30, I 47
2θ 19.30, I 47
2θ 25.69, I 26

Atomic structure:
Unit cell a=4.6669 b=4.6669 c=4.6589 alpha=98.73 beta=98.73 gamma=34.22
Atoms (fractional coordinates):
Al: 0.0000 0.0000 0.0000
Os: 0.5000 0.5000 0.5000
Ru: 0.2461 0.2461 0.7485
Ru: 0.7539 0.7539 0.2515